No. 1
Simulated PXRD pattern of CsVTeO6 for Cu Kα (weighted mean of Kα1 and Kα2), from a PBE+U-relaxed structure.
No peak broadening, texture or thermal motion is included.

Top 6 peaks for 5 to 70 degrees two-theta, in order of falling intensity:
2θ 28.93, I = 100; 2θ 50.74, I = 48; 2θ 29.15, I = 44; 2θ 29.28, I = 43; 2θ 24.74, I = 39; 2θ 30.65, I = 28

Structural model:
Cell: 7.1984 7.1984 7.1984 Å, 120.73 119.31 89.97°
Atoms (fractional coordinates):
Cs: 0.3704 0.1204 0.2500
Cs: 0.6296 0.8796 0.7500
V: 0.0000 0.0000 0.5000
V: 0.0000 0.5000 0.0000
Te: 0.0000 0.5000 0.5000
Te: 0.5000 0.5000 0.0000
O: 0.0506 0.8006 0.2500
O: 0.0620 0.4269 0.2419
O: 0.0620 0.8201 0.6351
O: 0.3150 0.1799 0.7419
O: 0.3150 0.5731 0.1351
O: 0.3278 0.5778 0.7500
O: 0.6722 0.4222 0.2500
O: 0.6850 0.4269 0.8649
O: 0.6850 0.8201 0.2581
O: 0.9380 0.1799 0.3649
O: 0.9380 0.5731 0.7581
O: 0.9494 0.1994 0.7500

No. 2
Simulated PXRD pattern of CsTmW2O8 for Cu Kα (weighted mean of Kα1 and Kα2), from a PBE+U-relaxed structure.
No peak broadening, texture or thermal motion is included.

Top 6 peaks for 5 to 70 degrees two-theta, in order of falling intensity:
2θ 19.97, I = 100; 2θ 27.41, I = 80; 2θ 29.34, I = 69; 2θ 40.59, I = 31; 2θ 50.87, I = 29; 2θ 53.57, I = 24

Structural model:
Cell: 6.0873 6.0873 8.2723 Å, 90.00 90.00 120.00°
Atoms (fractional coordinates):
Cs: 0.0000 0.0000 0.0000
Tm: 0.0000 0.0000 0.5000
W: 0.3333 0.6667 0.2704
W: 0.6667 0.3333 0.7296
O: 0.1686 0.3372 0.3393
O: 0.1686 0.8314 0.3393
O: 0.3333 0.6667 0.0558
O: 0.3372 0.1686 0.6607
O: 0.6628 0.8314 0.3393
O: 0.6667 0.3333 0.9442
O: 0.8314 0.1686 0.6607
O: 0.8314 0.6628 0.6607

No. 3
Simulated PXRD pattern of CsTmW2O8 for Cu Kα (weighted mean of Kα1 and Kα2), from a PBE+U-relaxed structure.
No peak broadening, texture or thermal motion is included.

Top 6 peaks for 5 to 70 degrees two-theta, in order of falling intensity:
2θ 29.05, I = 100; 2θ 27.07, I = 97; 2θ 30.96, I = 43; 2θ 27.27, I = 33; 2θ 27.85, I = 26; 2θ 33.14, I = 25

Structural model:
Cell: 7.6368 7.6368 7.5394 Å, 117.41 117.41 88.49°
Atoms (fractional coordinates):
Cs: 0.1976 0.8024 0.7500
Cs: 0.8024 0.1976 0.2500
Tm: 0.2226 0.7774 0.2500
Tm: 0.7774 0.2226 0.7500
W: 0.3006 0.3126 0.2839
W: 0.3126 0.3006 0.7839
W: 0.6874 0.6994 0.2161
W: 0.6994 0.6874 0.7161
O: 0.0483 0.2216 0.7026
O: 0.0579 0.3679 0.1204
O: 0.2216 0.0483 0.2026
O: 0.2500 0.3796 0.5646
O: 0.3679 0.0579 0.6204
O: 0.3718 0.5926 0.0386
O: 0.3796 0.2500 0.0646
O: 0.4074 0.6282 0.4614
O: 0.5926 0.3718 0.5386
O: 0.6204 0.7500 0.9354
O: 0.6282 0.4074 0.9614
O: 0.6321 0.9421 0.3796
O: 0.7500 0.6204 0.4354
O: 0.7784 0.9517 0.7974
O: 0.9421 0.6321 0.8796
O: 0.9517 0.7784 0.2974

No. 4
Simulated PXRD pattern of Cs4U2V2O13 for Cu Kα (weighted mean of Kα1 and Kα2), from a PBE+U-relaxed structure.
No peak broadening, texture or thermal motion is included.

Top 6 peaks for 5 to 70 degrees two-theta, in order of falling intensity:
2θ 27.37, I = 100; 2θ 24.04, I = 32; 2θ 25.94, I = 24; 2θ 11.98, I = 18; 2θ 24.91, I = 16; 2θ 42.33, I = 15

Structural model:
Cell: 8.5629 13.7381 7.3892 Å, 90.00 90.00 90.00°
Atoms (fractional coordinates):
Cs: 0.2500 0.0524 0.0213
Cs: 0.2500 0.2500 0.6295
Cs: 0.2500 0.4476 0.0213
Cs: 0.2500 0.7500 0.2724
Cs: 0.7500 0.2500 0.7276
Cs: 0.7500 0.5524 0.9787
Cs: 0.7500 0.7500 0.3705
Cs: 0.7500 0.9476 0.9787
U: 0.0000 0.0000 0.5000
U: 0.0000 0.5000 0.5000
U: 0.5000 0.0000 0.5000
U: 0.5000 0.5000 0.5000
V: 0.0443 0.7500 0.7870
V: 0.4557 0.7500 0.7870
V: 0.5443 0.2500 0.2130
V: 0.9557 0.2500 0.2130
O: 0.0001 0.1464 0.3394
O: 0.0001 0.3536 0.3394
O: 0.9999 0.6464 0.6606
O: 0.9999 0.8536 0.6606
O: 0.0200 0.5698 0.2818
O: 0.0200 0.9302 0.2818
O: 0.0593 0.2500 0.0208
O: 0.2500 0.0123 0.5204
O: 0.2500 0.4877 0.5204
O: 0.2500 0.7500 0.8511
O: 0.4407 0.2500 0.0208
O: 0.4800 0.5698 0.2818
O: 0.4800 0.9302 0.2818
O: 0.4999 0.1464 0.3394
O: 0.4999 0.3536 0.3394
O: 0.5001 0.6464 0.6606
O: 0.5001 0.8536 0.6606
O: 0.5200 0.0698 0.7182
O: 0.5200 0.4302 0.7182
O: 0.5593 0.7500 0.9792
O: 0.7500 0.2500 0.1489
O: 0.7500 0.5123 0.4796
O: 0.7500 0.9877 0.4796
O: 0.9407 0.7500 0.9792
O: 0.9800 0.0698 0.7182
O: 0.9800 0.4302 0.7182